Starting from a GGA-PBE-relaxed structure, the powder XRD pattern of CaY3Pt8 was computed for Cu Kα (weighted mean of Kα1 and Kα2).
Neutral-atom scattering factors, no anomalous dispersion.

The 8 most intense peaks (2θ = 5–70°), sorted by position:
Position (°2θ)  I_rel  hkl
18.8  41  1 0 0
35.8  39  1 0 3
38.7  82  1 1 2
39.4  100  0 2 1
40.6  29  0 0 4
43.4  46  2 0 2
65.7  28  2 0 5
68.8  27  2 2 0

Structural model:
a = 5.4603 Å, b = 5.4603 Å, c = 8.8824 Å
α = 90.00°, β = 90.00°, γ = 120.00°
Space group P3m1 (No. 156)
One atom of each set of equivalent atoms:
Ca (0.0000, 0.0000, 0.0000) x1
Y (0.0000, 0.0000, 0.3659) x1
Y (0.6667, 0.3333, 0.5066) x1
Y (0.6667, 0.3333, 0.8790) x1
Pt (0.1642, 0.3284, 0.6870) x3
Pt (0.3333, 0.6667, 0.4390) x1
Pt (0.3333, 0.6667, 0.9391) x1
Pt (0.5026, 0.0051, 0.1905) x3